# 1
Calculated powder diffractogram
Compound: Ho4MnSi7
Radiation: CuKα
Structure: the GGA-PBE geometry in Alexandria
Lines closer than 0.1° are merged.

Top 12 peaks for 10° ≤ 2θ ≤ 90°, sorted by position:
22.51°, d = 3.950 Å, rel. 43; 24.58°, d = 3.622 Å, rel. 37; 24.69°, d = 3.606 Å, rel. 22; 31.54°, d = 2.837 Å, rel. 22; 33.00°, d = 2.714 Å, rel. 48; 35.31°, d = 2.542 Å, rel. 100; 38.12°, d = 2.361 Å, rel. 27; 41.46°, d = 2.178 Å, rel. 24; 44.10°, d = 2.053 Å, rel. 24; 46.45°, d = 1.955 Å, rel. 20; 51.16°, d = 1.786 Å, rel. 17; 75.37°, d = 1.261 Å, rel. 17

Structural model:
```
Ho4MnSi7
1.0
4.1068 0.0000 0.0000
0.0000 1.9551 14.4255
0.0000 -1.9551 14.4255
Ho Mn Si
4 1 7
Direct
0.0000 0.0000 0.0000
0.0000 0.3862 0.3862
0.5000 0.1184 0.1184
0.5000 0.7259 0.7259
0.5000 0.8361 0.8361
0.0000 0.2008 0.2008
0.0000 0.6478 0.6478
0.0000 0.8025 0.8025
0.5000 0.3010 0.3010
0.5000 0.4634 0.4634
0.5000 0.5430 0.5430
0.5000 0.9158 0.9158
```

# 2
Calculated powder diffractogram
Compound: La2Pm2Se2S3
Radiation: CuKα
Structure: the GGA-PBE geometry in Alexandria
Lines closer than 0.1° are merged.

Top 12 peaks for 10° ≤ 2θ ≤ 90°, sorted by position:
23.25°, d = 3.826 Å, rel. 23; 25.52°, d = 3.490 Å, rel. 73; 32.28°, d = 2.774 Å, rel. 100; 32.70°, d = 2.739 Å, rel. 36; 33.44°, d = 2.680 Å, rel. 58; 40.16°, d = 2.246 Å, rel. 21; 46.29°, d = 1.961 Å, rel. 36; 47.16°, d = 1.927 Å, rel. 43; 53.28°, d = 1.719 Å, rel. 15; 53.60°, d = 1.710 Å, rel. 20; 70.25°, d = 1.340 Å, rel. 15; 76.86°, d = 1.240 Å, rel. 16

Structural model:
```
La2Pm2Se2S3
1.0
-2.7735 2.7735 7.6514
2.7735 -2.7735 7.6514
2.7735 2.7735 -7.6514
La Pm Se S
2 2 2 3
Direct
0.2026 0.2026 0.0000
0.7974 0.7974 0.0000
0.0000 0.5000 0.5000
0.5000 0.0000 0.5000
0.3987 0.3987 0.0000
0.6013 0.6013 0.0000
0.0000 0.0000 0.0000
0.2500 0.7500 0.5000
0.7500 0.2500 0.5000
```

# 3
Calculated powder diffractogram
Compound: Pm8CdIn6
Radiation: CuKα
Structure: the GGA-PBE geometry in Alexandria
Lines closer than 0.1° are merged.

Top 12 peaks for 10° ≤ 2θ ≤ 90°, sorted by position:
23.66°, d = 3.760 Å, rel. 21; 28.98°, d = 3.081 Å, rel. 28; 30.74°, d = 2.909 Å, rel. 73; 33.26°, d = 2.694 Å, rel. 76; 34.15°, d = 2.625 Å, rel. 100; 34.89°, d = 2.571 Å, rel. 34; 48.43°, d = 1.879 Å, rel. 18; 48.97°, d = 1.860 Å, rel. 12; 50.12°, d = 1.820 Å, rel. 21; 52.97°, d = 1.729 Å, rel. 22; 61.71°, d = 1.503 Å, rel. 13; 64.99°, d = 1.435 Å, rel. 15

Structural model:
```
Pm8CdIn6
1.0
4.6660 2.6939 6.3512
-4.6660 2.6939 6.3512
0.0000 -5.3878 6.3512
Pm Cd In
8 1 6
Direct
0.1287 0.6506 0.3835
0.2094 0.2094 0.2094
0.3494 0.6165 0.8713
0.3835 0.1287 0.6506
0.6165 0.8713 0.3494
0.6506 0.3835 0.1287
0.7906 0.7906 0.7906
0.8713 0.3494 0.6165
0.5000 0.5000 0.5000
0.0876 0.4172 0.8353
0.1647 0.9124 0.5828
0.4172 0.8353 0.0876
0.5828 0.1647 0.9124
0.8353 0.0876 0.4172
0.9124 0.5828 0.1647
```

# 4
Calculated powder diffractogram
Compound: CeGa4Pd8
Radiation: CuKα
Structure: the GGA-PBE geometry in Alexandria
Lines closer than 0.1° are merged.

Top 12 peaks for 10° ≤ 2θ ≤ 90°, sorted by position:
32.88°, d = 2.724 Å, rel. 36; 34.60°, d = 2.592 Å, rel. 52; 38.83°, d = 2.319 Å, rel. 55; 40.33°, d = 2.236 Å, rel. 100; 40.82°, d = 2.211 Å, rel. 67; 44.09°, d = 2.054 Å, rel. 75; 45.45°, d = 1.996 Å, rel. 19; 45.90°, d = 1.977 Å, rel. 18; 63.77°, d = 1.460 Å, rel. 25; 72.99°, d = 1.296 Å, rel. 25; 73.98°, d = 1.281 Å, rel. 33; 83.33°, d = 1.160 Å, rel. 16

Structural model:
```
CeGa4Pd8
1.0
-4.4213 4.4213 2.7242
4.4213 -4.4213 2.7242
4.4213 4.4213 -2.7242
Ce Ga Pd
1 4 8
Direct
0.0000 0.0000 0.0000
0.0000 0.0000 0.5000
0.0000 0.5000 0.0000
0.5000 0.0000 0.0000
0.5000 0.5000 0.5000
0.0000 0.3342 0.3342
0.0000 0.6658 0.6658
0.2759 0.5000 0.7759
0.3342 0.0000 0.3342
0.5000 0.2759 0.7759
0.5000 0.7241 0.2241
0.6658 0.0000 0.6658
0.7241 0.5000 0.2241
```

# 5
Calculated powder diffractogram
Compound: Ti3Nb
Radiation: CuKα
Structure: the GGA-PBE geometry in Alexandria
Lines closer than 0.1° are merged.

Top 12 peaks for 10° ≤ 2θ ≤ 90°, sorted by position:
21.55°, d = 4.124 Å, rel. 13; 30.66°, d = 2.916 Å, rel. 11; 37.78°, d = 2.381 Å, rel. 100; 43.91°, d = 2.062 Å, rel. 48; 49.41°, d = 1.844 Å, rel. 6; 54.50°, d = 1.684 Å, rel. 5; 63.84°, d = 1.458 Å, rel. 29; 68.22°, d = 1.375 Å, rel. 3; 72.47°, d = 1.304 Å, rel. 2; 76.63°, d = 1.243 Å, rel. 33; 80.71°, d = 1.191 Å, rel. 9; 88.76°, d = 1.102 Å, rel. 2

Structural model:
```
Ti3Nb
1.0
4.1242 0.0000 0.0000
0.0000 4.1242 0.0000
0.0000 0.0000 4.1242
Ti Nb
3 1
Direct
0.0000 0.0000 0.5000
0.0000 0.5000 0.0000
0.5000 0.0000 0.0000
0.5000 0.5000 0.5000
```

# 6
Calculated powder diffractogram
Compound: Te2PtBr
Radiation: CuKα
Structure: the GGA-PBE geometry in Alexandria
Lines closer than 0.1° are merged.

Top 12 peaks for 10° ≤ 2θ ≤ 90°, sorted by position:
10.56°, d = 8.375 Å, rel. 9; 13.29°, d = 6.664 Å, rel. 100; 20.09°, d = 4.420 Å, rel. 13; 24.60°, d = 3.619 Å, rel. 13; 30.05°, d = 2.974 Å, rel. 79; 32.70°, d = 2.739 Å, rel. 41; 37.07°, d = 2.425 Å, rel. 12; 39.77°, d = 2.266 Å, rel. 19; 44.05°, d = 2.056 Å, rel. 32; 45.21°, d = 2.006 Å, rel. 17; 45.92°, d = 1.976 Å, rel. 31; 56.91°, d = 1.618 Å, rel. 17

Structural model:
```
Te2PtBr
1.0
7.2591 0.0000 0.0000
0.0000 4.0110 0.0000
-3.6044 0.0000 8.3748
Te Pt Br
4 2 2
Direct
0.2049 0.2500 0.4835
0.2632 0.7500 0.8531
0.7368 0.2500 0.1469
0.7951 0.7500 0.5165
0.0270 0.2500 0.6917
0.9730 0.7500 0.3083
0.2100 0.7500 0.1466
0.7900 0.2500 0.8534
```